For CoCuNiS4, a structure optimized by DFT (GGA-PBE) gives the simulated PXRD pattern in this record (Cu Kα).

Cell and atoms:
```
14
Lattice="-3.345 3.378 4.747 3.345 -3.378 4.747 3.345 3.378 -4.747" Properties=species:S:1:pos:R:3 pbc="T T T"
Co -1.672 1.689 2.373
Co 1.672 1.689 2.373
Cu 3.345 1.689 -1.201
Cu 0.000 1.689 5.948
Ni 0.000 0.000 0.000
Ni 0.000 3.378 0.000
S 1.515 1.689 0.137
S 1.830 -1.689 4.884
S 0.000 0.188 2.275
S 3.345 0.188 2.471
S 0.000 3.190 2.275
S 3.345 3.190 2.471
S 1.515 5.067 -0.137
S 1.830 1.689 4.609
```

Main lines, sorted by position (15 to 90 degrees two-theta):
16.10 deg, I 15; 26.54 deg, I 44; 31.15 deg, I 94; 31.28 deg, I 96; 37.87 deg, I 79; 49.74 deg, I 34; 49.92 deg, I 59; 54.32 deg, I 25; 54.65 deg, I 100; 54.90 deg, I 25

For Co4Cu3Ni2Se12, a structure optimized by DFT (GGA-PBE) gives the simulated PXRD pattern in this record (Cu Kα).

Cell and atoms:
```
42
Lattice="6.181 -3.568 0.000 6.181 3.568 0.000 -0.008 0.000 17.507" Properties=species:S:1:pos:R:3 pbc="T T T"
Co 3.086 1.784 8.753
Co 5.143 1.786 14.592
Co 2.054 0.000 14.590
Co 7.210 1.786 2.915
Co 3.086 -1.784 8.753
Co 5.143 -1.786 14.592
Co 10.299 0.000 2.917
Co 7.210 -1.786 2.915
Cu 12.356 0.000 6.562
Cu -0.003 0.000 10.945
Cu 4.121 0.000 0.725
Cu 4.119 0.000 5.110
Cu 8.235 0.000 12.397
Cu 8.232 0.000 16.782
Ni 0.000 0.000 0.000
Ni 4.113 0.000 11.672
Ni 6.177 0.000 8.753
Ni 8.240 0.000 5.835
Se 0.000 0.000 4.151
Se 12.354 0.000 13.356
Se 3.188 1.604 13.222
Se 1.854 0.000 1.554
Se 5.252 1.962 1.554
Se 5.033 1.615 10.129
Se 2.261 0.000 10.121
Se 7.101 1.962 15.953
Se 4.099 0.000 7.518
Se 4.114 0.000 15.820
Se 7.320 1.615 7.378
Se 3.188 -1.604 13.222
Se 5.967 0.000 13.228
Se 6.387 0.000 4.279
Se 9.166 1.604 4.285
Se 5.033 -1.615 10.129
Se 8.240 0.000 1.687
Se 8.254 0.000 9.989
Se 5.252 -1.962 1.554
Se 10.092 0.000 7.386
Se 7.320 -1.615 7.378
Se 7.101 -1.962 15.953
Se 10.499 0.000 15.953
Se 9.166 -1.604 4.285
```

Main lines, sorted by position (15 to 90 degrees two-theta):
15.20 deg, I 20; 24.94 deg, I 19; 29.34 deg, I 42; 30.67 deg, I 40; 35.56 deg, I 81; 46.75 deg, I 45; 51.18 deg, I 100; 60.86 deg, I 12; 75.29 deg, I 13; 86.19 deg, I 9

For Pm2CoCu, a structure optimized by DFT (GGA-PBE) gives the simulated PXRD pattern in this record (Cu Kα).

Cell and atoms:
```
4
Lattice="0.000 3.486 3.486 3.486 0.000 3.486 3.486 3.486 0.000" Properties=species:S:1:pos:R:3 pbc="T T T"
Pm 1.743 1.743 1.743
Pm 5.229 5.229 5.229
Co 0.000 0.000 0.000
Cu 3.486 3.486 3.486
```

Main lines, sorted by position (15 to 90 degrees two-theta):
25.55 deg, I 18; 36.45 deg, I 100; 45.05 deg, I 5; 52.50 deg, I 17; 59.28 deg, I 8; 65.60 deg, I 35; 77.44 deg, I 11; 83.13 deg, I 4; 88.75 deg, I 15

For RbCoCu3Se4, a structure optimized by DFT (GGA-PBE) gives the simulated PXRD pattern in this record (Cu Kα).

Cell and atoms:
```
9
Lattice="6.111 0.000 0.000 0.000 6.111 0.000 0.000 0.000 6.111" Properties=species:S:1:pos:R:3 pbc="T T T"
Rb 0.000 0.000 0.000
Co 3.055 3.055 3.055
Cu 0.000 3.055 3.055
Cu 3.055 0.000 3.055
Cu 3.055 3.055 0.000
Se 1.758 1.758 4.352
Se 1.758 4.352 1.758
Se 4.352 1.758 1.758
Se 4.352 4.352 4.352
```

Main lines, sorted by position (15 to 90 degrees two-theta):
20.56 deg, I 17; 25.24 deg, I 97; 36.00 deg, I 19; 41.81 deg, I 100; 49.47 deg, I 36; 54.11 deg, I 13; 56.33 deg, I 12; 60.62 deg, I 13; 64.72 deg, I 13; 76.35 deg, I 22

For Co5CuS8, a structure optimized by DFT (GGA-PBE) gives the simulated PXRD pattern in this record (Cu Kα).

Cell and atoms:
```
14
Lattice="0.000 4.693 4.693 4.693 0.000 4.693 4.693 4.693 0.000" Properties=species:S:1:pos:R:3 pbc="T T T"
Co 0.000 0.000 0.000
Co 5.861 3.526 3.526
Co 3.526 5.861 3.526
Co 3.526 3.526 5.861
Co 5.861 5.861 5.861
Cu 2.347 2.347 2.347
S 3.639 3.639 3.639
S 5.747 5.747 3.639
S 5.747 3.639 5.747
S 8.143 5.937 5.937
S 3.639 5.747 5.747
S 5.937 8.143 5.937
S 5.937 5.937 8.143
S 8.143 8.143 8.143
```

Main lines, sorted by position (15 to 90 degrees two-theta):
16.36 deg, I 14; 26.86 deg, I 33; 31.61 deg, I 100; 38.36 deg, I 45; 47.45 deg, I 11; 50.52 deg, I 47; 55.37 deg, I 81; 65.17 deg, I 11; 78.23 deg, I 16; 82.15 deg, I 12

For Co2CuS4, a structure optimized by DFT (GGA-PBE) gives the simulated PXRD pattern in this record (Cu Kα).

Cell and atoms:
```
14
Lattice="0.000 4.738 4.738 4.738 0.000 4.738 4.738 4.738 0.000" Properties=species:S:1:pos:R:3 pbc="T T T"
Co 0.000 0.000 0.000
Co 2.369 2.369 0.000
Co 2.369 0.000 2.369
Co 0.000 2.369 2.369
Cu 3.553 3.553 3.553
Cu 5.922 5.922 5.922
S 7.229 4.615 4.615
S 2.246 2.246 2.246
S 4.860 4.860 2.246
S 4.860 2.246 4.860
S 4.615 7.229 4.615
S 4.615 4.615 7.229
S 7.229 7.229 7.229
S 2.246 4.860 4.860
```

Main lines, sorted by position (15 to 90 degrees two-theta):
16.20 deg, I 15; 26.61 deg, I 36; 31.31 deg, I 100; 37.99 deg, I 41; 46.98 deg, I 12; 50.02 deg, I 51; 54.81 deg, I 80; 64.49 deg, I 12; 77.36 deg, I 16; 89.60 deg, I 12

For CoCu2SnS4, a structure optimized by DFT (GGA-PBE) gives the simulated PXRD pattern in this record (Cu Kα).

Cell and atoms:
```
8
Lattice="-2.707 2.707 5.355 2.707 -2.707 5.355 2.707 2.707 -5.355" Properties=species:S:1:pos:R:3 pbc="T T T"
Co 0.000 0.000 0.000
Cu 2.707 0.000 2.677
Cu 0.000 2.707 2.677
Sn 0.000 0.000 5.355
S 1.251 1.251 -1.404
S 1.456 -1.456 6.758
S 1.456 1.456 3.951
S -1.456 1.456 6.758
```

Main lines, sorted by position (15 to 90 degrees two-theta):
28.66 deg, I 100; 33.09 deg, I 11; 47.50 deg, I 19; 47.78 deg, I 39; 56.42 deg, I 28; 56.92 deg, I 14; 69.44 deg, I 6; 77.21 deg, I 11; 88.67 deg, I 12; 89.29 deg, I 6

For CoCu2Sn3S8, a structure optimized by DFT (GGA-PBE) gives the simulated PXRD pattern in this record (Cu Kα).

Cell and atoms:
```
14
Lattice="3.666 2.116 5.965 -3.666 2.116 5.965 0.000 -4.233 5.965" Properties=species:S:1:pos:R:3 pbc="T T T"
Co 0.000 0.000 0.000
Cu 0.000 0.000 6.802
Cu 0.000 0.000 11.093
Sn -3.666 0.000 8.947
Sn -1.833 1.058 2.982
Sn 1.833 1.058 2.982
S -1.980 -1.143 10.548
S 0.000 -2.286 7.347
S -1.980 1.143 7.347
S 0.000 0.000 4.489
S 0.000 0.000 13.406
S 1.980 -1.143 10.548
S 0.000 2.286 10.548
S 1.980 1.143 7.347
```

Main lines, sorted by position (15 to 90 degrees two-theta):
24.33 deg, I 17; 28.58 deg, I 100; 34.65 deg, I 46; 45.51 deg, I 35; 49.74 deg, I 35; 49.87 deg, I 35; 58.38 deg, I 11; 69.69 deg, I 10; 69.79 deg, I 11; 73.10 deg, I 11

For TiCoCuS4, a structure optimized by DFT (GGA-PBE) gives the simulated PXRD pattern in this record (Cu Kα).

Cell and atoms:
```
14
Lattice="-3.405 3.509 4.885 3.405 -3.509 4.885 3.405 3.509 -4.885" Properties=species:S:1:pos:R:3 pbc="T T T"
Ti -1.703 1.754 2.443
Ti 1.703 1.754 2.443
Co 0.000 0.000 0.000
Co 0.000 3.509 0.000
Cu 3.405 1.754 -1.219
Cu 0.000 1.754 6.104
S 0.000 0.043 2.312
S 1.512 1.754 0.024
S 1.893 -1.754 4.909
S 3.405 0.043 2.573
S 0.000 3.466 2.312
S 1.512 5.263 -0.024
S 1.893 1.754 4.861
S 3.405 3.466 2.573
```

Main lines, sorted by position (15 to 90 degrees two-theta):
25.79 deg, I 44; 30.07 deg, I 67; 30.25 deg, I 28; 30.42 deg, I 33; 30.58 deg, I 52; 36.79 deg, I 72; 48.67 deg, I 33; 52.13 deg, I 28; 53.01 deg, I 100; 53.85 deg, I 23

For Sc2CoCu, a structure optimized by DFT (GGA-PBE) gives the simulated PXRD pattern in this record (Cu Kα).

Cell and atoms:
```
4
Lattice="0.000 3.191 3.191 3.191 0.000 3.191 3.191 3.191 0.000" Properties=species:S:1:pos:R:3 pbc="T T T"
Sc 1.595 1.595 1.595
Sc 4.786 4.786 4.786
Co 0.000 0.000 0.000
Cu 3.191 3.191 3.191
```

Main lines, sorted by position (15 to 90 degrees two-theta):
27.97 deg, I 5; 39.96 deg, I 100; 49.48 deg, I 1; 57.80 deg, I 15; 65.41 deg, I 2; 72.58 deg, I 29; 86.22 deg, I 9

For SrCoCu3Se4, a structure optimized by DFT (GGA-PBE) gives the simulated PXRD pattern in this record (Cu Kα).

Cell and atoms:
```
9
Lattice="6.015 0.000 0.000 0.000 6.015 0.000 0.000 0.000 6.015" Properties=species:S:1:pos:R:3 pbc="T T T"
Sr 0.000 0.000 0.000
Co 3.008 3.008 3.008
Cu 0.000 3.008 3.008
Cu 3.008 0.000 3.008
Cu 3.008 3.008 0.000
Se 1.660 1.660 4.355
Se 1.660 4.355 1.660
Se 4.355 1.660 1.660
Se 4.355 4.355 4.355
```

Main lines, sorted by position (15 to 90 degrees two-theta):
20.88 deg, I 13; 25.65 deg, I 94; 36.59 deg, I 11; 42.51 deg, I 100; 50.31 deg, I 38; 57.31 deg, I 7; 61.68 deg, I 14; 67.92 deg, I 13; 77.78 deg, I 26; 83.51 deg, I 9

For UCoCuSi2, a structure optimized by DFT (GGA-PBE) gives the simulated PXRD pattern in this record (Cu Kα).

Cell and atoms:
```
5
Lattice="-1.972 1.972 4.845 1.972 -1.972 4.845 1.972 1.972 -4.845" Properties=species:S:1:pos:R:3 pbc="T T T"
U 0.000 0.000 0.000
Co 1.972 0.000 2.422
Cu 0.000 1.972 2.422
Si 0.000 0.000 3.678
Si 0.000 0.000 6.012
```

Main lines, sorted by position (15 to 90 degrees two-theta):
24.37 deg, I 63; 35.94 deg, I 50; 37.19 deg, I 100; 46.04 deg, I 30; 52.62 deg, I 18; 52.76 deg, I 17; 59.75 deg, I 23; 60.55 deg, I 14; 72.47 deg, I 15; 79.33 deg, I 26